Structure and simulated PXRD pattern of SrNdCo4O12 (a crystal structure in Alexandria, relaxed with GGA+U; Cu Kα).
Intensities are scaled so that the largest is 100.

Structure:
```
data_SrNdCo4O12
_chemical_formula_sum 'Sr1 Nd1 Co4 O12'
_symmetry_space_group_name_H-M 'P 4/m m m'
_symmetry_Int_Tables_number 123
_symmetry_space_group_name_Hall '-P 4 2'
_cell_length_a 5.316
_cell_length_b 5.316
_cell_length_c 7.564
_cell_angle_alpha 90.00
_cell_angle_beta 90.00
_cell_angle_gamma 90.00
loop_
_atom_site_label
_atom_site_type_symbol
_atom_site_fract_x
_atom_site_fract_y
_atom_site_fract_z
Sr1 Sr 0.000 0.000 0.000
Nd1 Nd 0.500 0.500 0.500
Co1 Co 0.000 0.500 0.246
O1 O 0.000 0.500 0.000
O2 O 0.000 0.500 0.500
O3 O 0.256 0.256 0.259
```

The 10 most intense peaks (2θ = 5–70°), sorted by position:
hkl 1 0 1, 20.4 deg, d 4.350, I 100
hkl 1 1 2, 33.6 deg, d 2.666, I 90
hkl 2 0 0, 33.7 deg, d 2.658, I 45
hkl 1 0 3, 39.6 deg, d 2.278, I 18
hkl 2 1 1, 39.7 deg, d 2.268, I 36
hkl 0 0 4, 48.1 deg, d 1.891, I 20
hkl 2 2 0, 48.4 deg, d 1.880, I 40
hkl 2 1 3, 52.9 deg, d 1.730, I 16
hkl 2 0 4, 60.0 deg, d 1.541, I 17
hkl 3 1 2, 60.2 deg, d 1.536, I 34